Entry 1:
# MnH2Cl5
Computed powder XRD pattern, Cu Kα (λ = 1.5418 Å). Input: a GGA-PBE-relaxed structure.

Peak list (12 most intense, 2θ from 5° to 70°, in order of rising 2θ)
d [Å], intensity
6.320, 30
6.134, 68
5.916, 99
5.237, 92
5.132, 78
4.981, 43
4.044, 100
3.477, 57
3.285, 97
3.258, 27
2.958, 29
2.791, 46

Structural model:
Unit cell a=5.8502 b=7.1721 c=7.2226 alpha=110.86 beta=102.05 gamma=107.09
Element x y z (fractional)
1 Mn 0.0000 0.0000 0.0000
2 H 0.0751 0.6960 0.6229
3 H 0.2713 0.5409 0.3819
4 Cl 0.1355 0.1747 0.8270
5 Cl 0.2675 0.2357 0.3209
6 Cl 0.2713 0.7394 0.4442
7 Cl 0.6784 0.8502 0.0794
8 Cl 0.9302 0.6454 0.7376

=====

Entry 2:
# MnH2Cl4
Computed powder XRD pattern, Cu Kα (λ = 1.5418 Å). Input: a GGA-PBE-relaxed structure.

Peak list (12 most intense, 2θ from 5° to 70°, in order of rising 2θ)
d [Å], intensity
7.455, 100
6.007, 43
4.528, 23
3.453, 20
3.423, 24
3.270, 53
2.686, 25
2.630, 20
2.421, 15
2.356, 37
2.328, 28
1.857, 19

Structural model:
Unit cell a=3.7180 b=6.2574 c=7.6784 alpha=82.71 beta=76.71 gamma=74.20
Element x y z (fractional)
1 Mn 0.0000 0.0000 0.0000
2 H 0.3237 0.5696 0.7708
3 H 0.6763 0.4304 0.2292
4 Cl 0.2428 0.7764 0.6977
5 Cl 0.4525 0.2381 0.8700
6 Cl 0.5475 0.7619 0.1300
7 Cl 0.7572 0.2236 0.3023

=====

Entry 3:
# MnH6N2Cl2
Computed powder XRD pattern, Cu Kα (λ = 1.5418 Å). Input: a GGA-PBE-relaxed structure.

Peak list (12 most intense, 2θ from 5° to 70°, in order of rising 2θ)
d [Å], intensity
5.874, 100
4.157, 46
2.936, 11
2.825, 80
2.629, 22
2.396, 19
2.282, 16
2.193, 17
2.147, 14
2.077, 26
1.718, 14
1.634, 11

Structural model:
Unit cell a=5.8816 b=5.8816 c=3.8678 alpha=92.92 beta=92.92 gamma=89.73
Element x y z (fractional)
1 Mn 0.0000 0.0000 0.0000
2 H 0.2141 0.4121 0.1656
3 H 0.3114 0.3094 0.8004
4 H 0.4119 0.2132 0.1673
5 H 0.5879 0.7859 0.8344
6 H 0.6906 0.6886 0.1996
7 H 0.7868 0.5881 0.8327
8 N 0.2644 0.2639 0.0383
9 N 0.7361 0.7356 0.9617
10 Cl 0.2139 0.7861 0.5000
11 Cl 0.7862 0.2138 0.5000